Zn3F2: theoretical X-ray diffraction stick pattern (Cu Kα X-rays), based on a structure optimized by DFT (GGA-PBE).
No peak broadening, texture or thermal motion is included.

Cell and atoms:
a = 4.313 Å, b = 4.313 Å, c = 4.313 Å
α = 90.00°, β = 90.00°, γ = 90.00°
Element x y z (fractional)
Zn1 0.000 0.000 0.500
Zn2 0.000 0.500 0.000
Zn3 0.500 0.000 0.000
F1 0.000 0.000 0.000
F2 0.500 0.500 0.500

Peak list (6 most intense, 10° ≤ 2θ ≤ 90°, in order of rising 2θ)
20.60 deg, I = 35; 36.07 deg, I = 100; 41.90 deg, I = 68; 47.12 deg, I = 15; 60.74 deg, I = 41; 72.72 deg, I = 35

---

ZrF2: theoretical X-ray diffraction stick pattern (Cu Kα X-rays), based on a structure optimized by DFT (GGA-PBE).
No peak broadening, texture or thermal motion is included.

Cell and atoms:
a = 5.137 Å, b = 5.137 Å, c = 5.137 Å
α = 34.53°, β = 34.53°, γ = 34.53°
Element x y z (fractional)
Zr1 0.000 0.000 0.000
F1 0.571 0.571 0.571
F2 0.763 0.763 0.763

Peak list (6 most intense, 10° ≤ 2θ ≤ 90°, in order of rising 2θ)
18.38 deg, I = 100; 34.53 deg, I = 58; 36.21 deg, I = 57; 42.37 deg, I = 59; 46.55 deg, I = 49; 60.75 deg, I = 26

---

Fe: theoretical X-ray diffraction stick pattern (Cu Kα X-rays), based on a structure optimized by DFT (GGA-PBE).
No peak broadening, texture or thermal motion is included.

Cell and atoms:
a = 2.441 Å, b = 2.441 Å, c = 2.441 Å
α = 109.47°, β = 109.47°, γ = 109.47°
Element x y z (fractional)
Fe1 0.000 0.000 0.000

Peak list (3 most intense, 10° ≤ 2θ ≤ 90°, in order of rising 2θ)
45.52 deg, I = 100; 66.33 deg, I = 15; 84.14 deg, I = 29